This entry pairs a crystal structure of Ca2NdZn4 with its simulated X-ray diffraction stick pattern. Radiation: Cu Ka. Structure: a crystal structure in Alexandria, relaxed with GGA-PBE.
No peak broadening, texture or thermal motion is included.

The 10 most intense peaks (2θ from 5° to 70°), in order of rising 2θ:
Position (°2θ)  d_spacing  Rel. int.  hkl
9.0  9.775  100  0 0 2
31.7  2.821  92  1 1 2
32.5  2.758  54  1 0 5
35.6  2.523  48  1 1 4
37.9  2.375  57  0 1 7
40.0  2.256  31  0 2 0
46.4  1.957  16  0 1 9
46.7  1.945  20  2 0 0
52.4  1.746  26  1 2 5
61.6  1.505  26  2 1 7

Crystal structure
a = 3.890 Å, b = 4.511 Å, c = 19.550 Å
α = 90.00°, β = 90.00°, γ = 90.00°
Positions (direct):
Ca  0.000  0.000  0.189
Ca  0.000  0.000  0.811
Ca  0.500  0.500  0.311
Ca  0.500  0.500  0.689
Nd  0.000  0.500  0.000
Nd  0.500  0.000  0.500
Zn  0.000  0.000  0.365
Zn  0.000  0.000  0.635
Zn  0.000  0.500  0.435
Zn  0.000  0.500  0.565
Zn  0.500  0.000  0.065
Zn  0.500  0.000  0.935
Zn  0.500  0.500  0.135
Zn  0.500  0.500  0.865